Entry 1:
Structure and computed XRD peak list of Pm2Ge3Ir (a crystal structure in Alexandria, relaxed with GGA-PBE; Cu Kα (weighted mean of Kα1 and Kα2)).

Atomic structure:
Unit cell a=8.366 b=8.535 c=14.725 alpha=90.00 beta=90.00 gamma=90.00
Space group Fmmm (No. 69)
Unique sites:
1 Pm 0.246 0.000 0.000 x8
2 Pm 0.250 0.250 0.250 x8
3 Ge 0.000 0.000 0.331 x8
4 Ge 0.000 0.248 0.085 x16
5 Ir 0.000 0.000 0.166 x8

Principal peaks in the range 10 to 90 degrees two-theta, by intensity:
2θ/deg  d_spacing  I (rel.)  hkl
32.36  2.766  100  2 0 4
42.49  2.127  32  0 2 6
62.22  1.492  30  4 4 0
42.36  2.134  16  0 4 0
54.32  1.689  16  2 4 4
43.26  2.091  15  4 0 0
71.38  1.321  14  2 2 10
72.47  1.304  10  6 0 4
54.46  1.685  7  2 0 8
23.46  3.793  7  1 1 3

Entry 2:
Structure and computed XRD peak list of Pm3Ge5Ir6 (a crystal structure in Alexandria, relaxed with GGA-PBE; Cu Kα (weighted mean of Kα1 and Kα2)).

Atomic structure:
Unit cell a=4.140 b=12.705 c=9.941 alpha=90.00 beta=90.00 gamma=90.00
Space group Pmmn (No. 59, origin choice 2)
Unique sites:
1 Pm 0.250 0.088 0.247 x4
2 Pm 0.250 0.750 0.246 x2
3 Ge 0.250 0.078 0.649 x4
4 Ge 0.250 0.630 0.983 x4
5 Ge 0.250 0.750 0.624 x2
6 Ir 0.250 0.050 0.898 x4
7 Ir 0.250 0.250 0.002 x2
8 Ir 0.250 0.250 0.516 x2
9 Ir 0.250 0.582 0.493 x4

Principal peaks in the range 10 to 90 degrees two-theta, by intensity:
2θ/deg  d_spacing  I (rel.)  hkl
35.29  2.543  100  1 3 2
43.73  2.070  38  2 0 0
42.71  2.117  37  0 6 0
34.67  2.587  30  1 0 3
31.50  2.840  24  1 3 1
17.85  4.970  23  0 0 2
34.36  2.610  22  0 3 3
64.45  1.446  22  1 3 6
47.78  1.903  20  1 3 4
62.77  1.480  14  2 6 0

Entry 3:
Structure and computed XRD peak list of PmGe4Ir4 (a crystal structure in Alexandria, relaxed with GGA-PBE; Cu Kα (weighted mean of Kα1 and Kα2)).

Atomic structure:
Unit cell a=6.200 b=6.200 c=8.259 alpha=90.00 beta=90.00 gamma=90.00
Space group P4_2/nmc (No. 137, origin choice 2)
Unique sites:
1 Pm 0.250 0.750 0.250 x2
2 Ge 0.035 0.250 0.069 x8
3 Ir 0.026 0.250 0.369 x8

Principal peaks in the range 10 to 90 degrees two-theta, by intensity:
2θ/deg  d_spacing  I (rel.)  hkl
34.11  2.629  100  2 1 1
41.18  2.192  38  2 2 0
43.99  2.059  38  2 0 3
35.68  2.516  34  1 0 3
25.92  3.437  32  1 0 2
61.72  1.503  27  2 2 4
55.61  1.653  24  3 0 3
59.65  1.550  21  4 0 0
17.89  4.958  16  1 0 1
85.08  1.140  15  5 2 1

Entry 4:
Structure and computed XRD peak list of Pm4Ge6Ir7 (a crystal structure in Alexandria, relaxed with GGA-PBE; Cu Kα (weighted mean of Kα1 and Kα2)).

Atomic structure:
Unit cell a=8.531 b=8.531 c=8.531 alpha=90.00 beta=90.00 gamma=90.00
Space group Im-3m (No. 229)
Unique sites:
1 Pm 0.250 0.250 0.250 x8
2 Ge 0.000 0.000 0.323 x12
3 Ir 0.000 0.000 0.000 x2
4 Ir 0.000 0.250 0.500 x12

Principal peaks in the range 10 to 90 degrees two-theta, by intensity:
2θ/deg  d_spacing  I (rel.)  hkl
36.48  2.463  100  2 2 2
42.38  2.133  72  4 0 0
39.52  2.280  46  3 2 1
61.48  1.508  40  4 4 0
73.66  1.286  30  6 2 2
25.58  3.483  26  2 1 1
50.16  1.819  22  3 3 2
75.60  1.258  14  6 3 1
67.70  1.384  13  6 1 1
83.22  1.161  12  6 3 3

Q: Which formula does entry 2 have?
A: Pm3Ge5Ir6